Starting from a GGA-PBE-relaxed structure, the PXRD pattern of TiAsPbO6 was computed for Cu Kα X-rays.
Kinematic intensities with the Lorentz-polarization factor, no thermal factor.

Principal peaks in the range 2θ = 10–90°, in order of rising 2θ:
- 2θ 19.93, intensity 205
- 2θ 26.89, intensity 1000
- 2θ 34.89, intensity 279
- 2θ 41.65, intensity 107
- 2θ 44.59, intensity 237
- 2θ 51.15, intensity 313
- 2θ 57.83, intensity 236
- 2θ 59.60, intensity 100
- 2θ 62.56, intensity 96
- 2θ 80.04, intensity 99

Cell and atoms:
```
data_TiAsPbO6
_chemical_formula_sum 'Ti2 As2 Pb2 O12'
_cell_length_a 5.143
_cell_length_b 5.143
_cell_length_c 9.928
_cell_angle_alpha 90.00
_cell_angle_beta 90.00
_cell_angle_gamma 120.00
_symmetry_space_group_name_H-M 'P 1'
_symmetry_Int_Tables_number 1
_symmetry_space_group_name_Hall 'P 1'
loop_
_atom_site_label
_atom_site_fract_x
_atom_site_fract_y
_atom_site_fract_z
Ti1 0.333 0.667 0.250
Ti2 0.667 0.333 0.750
As1 0.333 0.667 0.750
As2 0.667 0.333 0.250
Pb1 0.000 0.000 0.000
Pb2 0.000 0.000 0.500
O1 0.016 0.386 0.645
O2 0.016 0.629 0.855
O3 0.371 0.386 0.855
O4 0.371 0.984 0.645
O5 0.386 0.016 0.145
O6 0.386 0.371 0.355
O7 0.614 0.629 0.645
O8 0.614 0.984 0.855
O9 0.629 0.016 0.355
O10 0.629 0.614 0.145
O11 0.984 0.371 0.145
O12 0.984 0.614 0.355
```

---

Starting from a GGA-PBE-relaxed structure, the PXRD pattern of Zn2As2PbO10 was computed for Cu Kα X-rays.
Kinematic intensities with the Lorentz-polarization factor, no thermal factor.

Principal peaks in the range 2θ = 10–90°, in order of rising 2θ:
- 2θ 18.75, intensity 722
- 2θ 21.23, intensity 253
- 2θ 26.86, intensity 829
- 2θ 29.37, intensity 1000
- 2θ 33.80, intensity 432
- 2θ 34.17, intensity 352
- 2θ 34.90, intensity 403
- 2θ 36.57, intensity 327
- 2θ 55.38, intensity 414
- 2θ 71.94, intensity 203

Cell and atoms:
```
data_Zn2As2PbO10
_chemical_formula_sum 'Zn2 As2 Pb1 O10'
_cell_length_a 5.441
_cell_length_b 5.441
_cell_length_c 7.658
_cell_angle_alpha 106.65
_cell_angle_beta 106.65
_cell_angle_gamma 76.47
_symmetry_space_group_name_H-M 'P 1'
_symmetry_Int_Tables_number 1
_symmetry_space_group_name_Hall 'P 1'
loop_
_atom_site_label
_atom_site_fract_x
_atom_site_fract_y
_atom_site_fract_z
Zn1 0.000 0.500 0.000
Zn2 0.500 0.000 0.000
As1 0.069 0.069 0.275
As2 0.931 0.931 0.725
Pb1 0.500 0.500 0.500
O1 0.157 0.733 0.237
O2 0.182 0.182 0.123
O3 0.213 0.213 0.497
O4 0.267 0.843 0.763
O5 0.423 0.423 0.947
O6 0.577 0.577 0.053
O7 0.733 0.157 0.237
O8 0.787 0.787 0.503
O9 0.818 0.818 0.877
O10 0.843 0.267 0.763
```

---

Starting from a GGA-PBE-relaxed structure, the PXRD pattern of ZnAs2Pb2O9 was computed for Cu Kα X-rays.
Kinematic intensities with the Lorentz-polarization factor, no thermal factor.

Principal peaks in the range 2θ = 10–90°, in order of rising 2θ:
- 2θ 18.44, intensity 391
- 2θ 24.31, intensity 231
- 2θ 24.59, intensity 247
- 2θ 26.31, intensity 1000
- 2θ 26.42, intensity 222
- 2θ 28.87, intensity 312
- 2θ 29.76, intensity 246
- 2θ 30.08, intensity 520
- 2θ 32.64, intensity 434
- 2θ 51.15, intensity 229

Cell and atoms:
```
data_ZnAs2Pb2O9
_chemical_formula_sum 'Zn2 As4 Pb4 O18'
_cell_length_a 8.255
_cell_length_b 5.942
_cell_length_c 9.021
_cell_angle_alpha 90.00
_cell_angle_beta 114.71
_cell_angle_gamma 90.00
_symmetry_space_group_name_H-M 'P 1'
_symmetry_Int_Tables_number 1
_symmetry_space_group_name_Hall 'P 1'
loop_
_atom_site_label
_atom_site_fract_x
_atom_site_fract_y
_atom_site_fract_z
Zn1 0.000 0.000 0.000
Zn2 0.000 0.500 0.000
As1 0.036 0.250 0.649
As2 0.426 0.750 0.165
As3 0.574 0.250 0.835
As4 0.964 0.750 0.351
Pb1 0.272 0.750 0.730
Pb2 0.317 0.250 0.368
Pb3 0.683 0.750 0.632
Pb4 0.728 0.250 0.270
O1 0.105 0.250 0.498
O2 0.111 0.021 0.782
O3 0.111 0.479 0.782
O4 0.138 0.250 0.109
O5 0.199 0.750 0.457
O6 0.207 0.750 0.137
O7 0.460 0.750 0.990
O8 0.474 0.013 0.715
O9 0.474 0.487 0.715
O10 0.526 0.513 0.285
O11 0.526 0.987 0.285
O12 0.540 0.250 0.010
O13 0.793 0.250 0.863
O14 0.801 0.250 0.543
O15 0.862 0.750 0.891
O16 0.889 0.521 0.218
O17 0.889 0.979 0.218
O18 0.895 0.750 0.502
```

---

Starting from a GGA-PBE-relaxed structure, the PXRD pattern of Zn2AsPbO8 was computed for Cu Kα X-rays.
Kinematic intensities with the Lorentz-polarization factor, no thermal factor.

Principal peaks in the range 2θ = 10–90°, in order of rising 2θ:
- 2θ 18.55, intensity 458
- 2θ 27.67, intensity 925
- 2θ 31.85, intensity 1000
- 2θ 33.52, intensity 142
- 2θ 39.53, intensity 197
- 2θ 51.63, intensity 674
- 2θ 57.14, intensity 151
- 2θ 59.19, intensity 209
- 2θ 66.92, intensity 183
- 2θ 80.60, intensity 136

Cell and atoms:
```
data_Zn2AsPbO8
_chemical_formula_sum 'Zn2 As1 Pb1 O8'
_cell_length_a 5.789
_cell_length_b 5.789
_cell_length_c 5.789
_cell_angle_alpha 112.32
_cell_angle_beta 112.32
_cell_angle_gamma 103.91
_symmetry_space_group_name_H-M 'P 1'
_symmetry_Int_Tables_number 1
_symmetry_space_group_name_Hall 'P 1'
loop_
_atom_site_label
_atom_site_fract_x
_atom_site_fract_y
_atom_site_fract_z
Zn1 0.000 0.000 0.000
Zn2 0.750 0.250 0.500
As1 0.250 0.750 0.500
Pb1 0.500 0.500 0.000
O1 0.028 0.806 0.222
O2 0.139 0.463 0.676
O3 0.194 0.416 0.222
O4 0.194 0.972 0.778
O5 0.537 0.214 0.676
O6 0.537 0.861 0.324
O7 0.584 0.806 0.778
O8 0.786 0.463 0.324
```

---

Starting from a GGA-PBE-relaxed structure, the PXRD pattern of As2PdO6 was computed for Cu Kα X-rays.
Kinematic intensities with the Lorentz-polarization factor, no thermal factor.

Principal peaks in the range 2θ = 10–90°, in order of rising 2θ:
- 2θ 28.15, intensity 1000
- 2θ 36.47, intensity 328
- 2θ 46.70, intensity 224
- 2θ 53.68, intensity 411
- 2θ 60.66, intensity 218
- 2θ 62.73, intensity 91
- 2θ 65.65, intensity 130
- 2θ 84.36, intensity 90
- 2θ 86.19, intensity 81
- 2θ 89.73, intensity 88

Cell and atoms:
```
data_As2PdO6
_chemical_formula_sum 'As2 Pd1 O6'
_cell_length_a 4.927
_cell_length_b 4.927
_cell_length_c 4.738
_cell_angle_alpha 90.00
_cell_angle_beta 90.00
_cell_angle_gamma 120.00
_symmetry_space_group_name_H-M 'P 1'
_symmetry_Int_Tables_number 1
_symmetry_space_group_name_Hall 'P 1'
loop_
_atom_site_label
_atom_site_fract_x
_atom_site_fract_y
_atom_site_fract_z
As1 0.333 0.667 0.000
As2 0.667 0.333 0.000
Pd1 0.000 0.000 0.500
O1 0.000 0.373 0.781
O2 0.000 0.627 0.219
O3 0.373 0.000 0.781
O4 0.373 0.373 0.219
O5 0.627 0.000 0.219
O6 0.627 0.627 0.781
```

---

Starting from a GGA-PBE-relaxed structure, the PXRD pattern of SrAsPdO4 was computed for Cu Kα X-rays.
Kinematic intensities with the Lorentz-polarization factor, no thermal factor.

Principal peaks in the range 2θ = 10–90°, in order of rising 2θ:
- 2θ 17.42, intensity 506
- 2θ 28.63, intensity 1000
- 2θ 33.71, intensity 137
- 2θ 40.94, intensity 113
- 2θ 44.80, intensity 144
- 2θ 50.72, intensity 392
- 2θ 59.28, intensity 170
- 2θ 62.30, intensity 80
- 2θ 67.14, intensity 163
- 2θ 81.73, intensity 200

Cell and atoms:
```
data_SrAsPdO4
_chemical_formula_sum 'Sr1 As1 Pd1 O4'
_cell_length_a 6.235
_cell_length_b 6.235
_cell_length_c 6.235
_cell_angle_alpha 60.00
_cell_angle_beta 60.00
_cell_angle_gamma 60.00
_symmetry_space_group_name_H-M 'P 1'
_symmetry_Int_Tables_number 1
_symmetry_space_group_name_Hall 'P 1'
loop_
_atom_site_label
_atom_site_fract_x
_atom_site_fract_y
_atom_site_fract_z
Sr1 0.000 0.000 0.000
As1 0.500 0.500 0.500
Pd1 0.750 0.750 0.750
O1 0.163 0.612 0.612
O2 0.612 0.163 0.612
O3 0.612 0.612 0.163
O4 0.612 0.612 0.612
```

---

Starting from a GGA-PBE-relaxed structure, the PXRD pattern of Pm2AsO5 was computed for Cu Kα X-rays.
Kinematic intensities with the Lorentz-polarization factor, no thermal factor.

Principal peaks in the range 2θ = 10–90°, in order of rising 2θ:
- 2θ 21.21, intensity 405
- 2θ 21.92, intensity 777
- 2θ 23.47, intensity 908
- 2θ 27.04, intensity 864
- 2θ 31.06, intensity 1000
- 2θ 32.60, intensity 657
- 2θ 35.95, intensity 550
- 2θ 38.88, intensity 574
- 2θ 48.00, intensity 337
- 2θ 49.29, intensity 455

Cell and atoms:
```
data_Pm2AsO5
_chemical_formula_sum 'Pm2 As1 O5'
_cell_length_a 4.633
_cell_length_b 5.627
_cell_length_c 6.020
_cell_angle_alpha 92.36
_cell_angle_beta 112.53
_cell_angle_gamma 114.26
_symmetry_space_group_name_H-M 'P 1'
_symmetry_Int_Tables_number 1
_symmetry_space_group_name_Hall 'P 1'
loop_
_atom_site_label
_atom_site_fract_x
_atom_site_fract_y
_atom_site_fract_z
Pm1 0.000 0.000 0.000
Pm2 0.082 0.658 0.504
As1 0.518 0.329 0.752
O1 0.132 0.330 0.753
O2 0.275 0.089 0.421
O3 0.445 0.999 0.887
O4 0.641 0.659 0.618
O5 0.847 0.568 0.083
```

---

Starting from a GGA-PBE-relaxed structure, the PXRD pattern of Pm3AsO6 was computed for Cu Kα X-rays.
Kinematic intensities with the Lorentz-polarization factor, no thermal factor.

Principal peaks in the range 2θ = 10–90°, in order of rising 2θ:
- 2θ 19.21, intensity 158
- 2θ 29.02, intensity 1000
- 2θ 29.32, intensity 306
- 2θ 29.50, intensity 249
- 2θ 30.37, intensity 130
- 2θ 42.85, intensity 220
- 2θ 43.48, intensity 195
- 2θ 49.79, intensity 155
- 2θ 52.03, intensity 154
- 2θ 57.98, intensity 133

Cell and atoms:
```
data_Pm3AsO6
_chemical_formula_sum 'Pm6 As2 O12'
_cell_length_a 7.328
_cell_length_b 7.328
_cell_length_c 6.056
_cell_angle_alpha 90.00
_cell_angle_beta 90.00
_cell_angle_gamma 102.87
_symmetry_space_group_name_H-M 'P 1'
_symmetry_Int_Tables_number 1
_symmetry_space_group_name_Hall 'P 1'
loop_
_atom_site_label
_atom_site_fract_x
_atom_site_fract_y
_atom_site_fract_z
Pm1 0.097 0.903 0.500
Pm2 0.196 0.412 0.537
Pm3 0.412 0.196 0.037
Pm4 0.588 0.804 0.537
Pm5 0.804 0.588 0.037
Pm6 0.903 0.097 0.000
As1 0.326 0.674 0.089
As2 0.674 0.326 0.589
O1 0.096 0.602 0.219
O2 0.151 0.175 0.266
O3 0.175 0.151 0.766
O4 0.280 0.720 0.630
O5 0.398 0.904 0.219
O6 0.460 0.540 0.264
O7 0.540 0.460 0.764
O8 0.602 0.096 0.719
O9 0.720 0.280 0.130
O10 0.825 0.849 0.266
O11 0.849 0.825 0.766
O12 0.904 0.398 0.719
```

---

Starting from a GGA-PBE-relaxed structure, the PXRD pattern of Pm3As2O was computed for Cu Kα X-rays.
Kinematic intensities with the Lorentz-polarization factor, no thermal factor.

Principal peaks in the range 2θ = 10–90°, in order of rising 2θ:
- 2θ 26.88, intensity 545
- 2θ 30.21, intensity 520
- 2θ 30.78, intensity 80
- 2θ 31.59, intensity 1000
- 2θ 44.27, intensity 689
- 2θ 45.19, intensity 192
- 2θ 45.36, intensity 159
- 2θ 55.32, intensity 186
- 2θ 55.47, intensity 152
- 2θ 72.03, intensity 112

Cell and atoms:
```
data_Pm3As2O
_chemical_formula_sum 'Pm6 As4 O2'
_cell_length_a 6.978
_cell_length_b 6.978
_cell_length_c 8.026
_cell_angle_alpha 106.57
_cell_angle_beta 106.57
_cell_angle_gamma 50.17
_symmetry_space_group_name_H-M 'P 1'
_symmetry_Int_Tables_number 1
_symmetry_space_group_name_Hall 'P 1'
loop_
_atom_site_label
_atom_site_fract_x
_atom_site_fract_y
_atom_site_fract_z
Pm1 0.054 0.946 0.750
Pm2 0.347 0.351 0.423
Pm3 0.351 0.347 0.923
Pm4 0.649 0.653 0.077
Pm5 0.653 0.649 0.577
Pm6 0.946 0.054 0.250
As1 0.172 0.174 0.086
As2 0.174 0.172 0.586
As3 0.826 0.828 0.414
As4 0.828 0.826 0.914
O1 0.445 0.555 0.750
O2 0.555 0.445 0.250
```

---

Starting from a GGA-PBE-relaxed structure, the PXRD pattern of RbPm3As4O12 was computed for Cu Kα X-rays.
Kinematic intensities with the Lorentz-polarization factor, no thermal factor.

Principal peaks in the range 2θ = 10–90°, in order of rising 2θ:
- 2θ 15.13, intensity 142
- 2θ 25.09, intensity 387
- 2θ 25.88, intensity 1000
- 2θ 30.52, intensity 179
- 2θ 32.48, intensity 235
- 2θ 33.24, intensity 363
- 2θ 37.27, intensity 148
- 2θ 42.50, intensity 237
- 2θ 56.66, intensity 198
- 2θ 86.43, intensity 136

Cell and atoms:
```
data_RbPm3As4O12
_chemical_formula_sum 'Rb1 Pm3 As4 O12'
_cell_length_a 7.450
_cell_length_b 7.450
_cell_length_c 7.450
_cell_angle_alpha 103.67
_cell_angle_beta 103.67
_cell_angle_gamma 103.67
_symmetry_space_group_name_H-M 'P 1'
_symmetry_Int_Tables_number 1
_symmetry_space_group_name_Hall 'P 1'
loop_
_atom_site_label
_atom_site_fract_x
_atom_site_fract_y
_atom_site_fract_z
Rb1 0.000 0.000 0.000
Pm1 0.000 0.565 0.435
Pm2 0.435 0.000 0.565
Pm3 0.565 0.435 0.000
As1 0.074 0.500 0.926
As2 0.500 0.500 0.500
As3 0.500 0.926 0.074
As4 0.926 0.074 0.500
O1 0.014 0.251 0.389
O2 0.077 0.923 0.500
O3 0.251 0.389 0.014
O4 0.334 0.666 0.500
O5 0.389 0.014 0.251
O6 0.500 0.077 0.923
O7 0.500 0.334 0.666
O8 0.611 0.749 0.986
O9 0.666 0.500 0.334
O10 0.749 0.986 0.611
O11 0.923 0.500 0.077
O12 0.986 0.611 0.749
```

---

Starting from a GGA-PBE-relaxed structure, the PXRD pattern of PmAsRuO5 was computed for Cu Kα X-rays.
Kinematic intensities with the Lorentz-polarization factor, no thermal factor.

Principal peaks in the range 2θ = 10–90°, in order of rising 2θ:
- 2θ 17.36, intensity 244
- 2θ 23.40, intensity 908
- 2θ 28.78, intensity 603
- 2θ 29.23, intensity 1000
- 2θ 31.38, intensity 228
- 2θ 33.14, intensity 618
- 2θ 35.59, intensity 329
- 2θ 46.76, intensity 267
- 2θ 51.21, intensity 256
- 2θ 59.53, intensity 244

Cell and atoms:
```
data_PmAsRuO5
_chemical_formula_sum 'Pm2 As2 Ru2 O10'
_cell_length_a 5.589
_cell_length_b 5.589
_cell_length_c 8.871
_cell_angle_alpha 101.88
_cell_angle_beta 101.88
_cell_angle_gamma 107.41
_symmetry_space_group_name_H-M 'P 1'
_symmetry_Int_Tables_number 1
_symmetry_space_group_name_Hall 'P 1'
loop_
_atom_site_label
_atom_site_fract_x
_atom_site_fract_y
_atom_site_fract_z
Pm1 0.000 0.000 0.000
Pm2 0.000 0.000 0.500
As1 0.321 0.679 0.750
As2 0.679 0.321 0.250
Ru1 0.301 0.699 0.250
Ru2 0.699 0.301 0.750
O1 0.033 0.639 0.809
O2 0.095 0.905 0.250
O3 0.301 0.425 0.597
O4 0.361 0.967 0.691
O5 0.425 0.301 0.097
O6 0.575 0.699 0.903
O7 0.639 0.033 0.309
O8 0.699 0.575 0.403
O9 0.905 0.095 0.750
O10 0.967 0.361 0.191
```

---

Starting from a GGA-PBE-relaxed structure, the PXRD pattern of PmSc2AsO8 was computed for Cu Kα X-rays.
Kinematic intensities with the Lorentz-polarization factor, no thermal factor.

Principal peaks in the range 2θ = 10–90°, in order of rising 2θ:
- 2θ 18.67, intensity 488
- 2θ 26.25, intensity 677
- 2θ 26.79, intensity 643
- 2θ 32.62, intensity 1000
- 2θ 37.85, intensity 217
- 2θ 38.04, intensity 260
- 2θ 42.17, intensity 145
- 2θ 50.50, intensity 447
- 2θ 51.12, intensity 421
- 2θ 65.07, intensity 268

Cell and atoms:
```
data_PmSc2AsO8
_chemical_formula_sum 'Pm1 Sc2 As1 O8'
_cell_length_a 4.752
_cell_length_b 6.725
_cell_length_c 4.757
_cell_angle_alpha 90.00
_cell_angle_beta 91.14
_cell_angle_gamma 90.00
_symmetry_space_group_name_H-M 'P 1'
_symmetry_Int_Tables_number 1
_symmetry_space_group_name_Hall 'P 1'
loop_
_atom_site_label
_atom_site_fract_x
_atom_site_fract_y
_atom_site_fract_z
Pm1 0.000 0.000 0.000
Sc1 0.500 0.263 0.500
Sc2 0.500 0.737 0.500
As1 0.000 0.500 0.000
O1 0.189 0.301 0.190
O2 0.189 0.699 0.190
O3 0.280 0.500 0.722
O4 0.332 0.000 0.670
O5 0.668 0.000 0.330
O6 0.720 0.500 0.278
O7 0.811 0.301 0.810
O8 0.811 0.699 0.810
```